Record 1
Theoretical powder diffraction line list of TlOF for Cu Kα, 1.54184 Å, from DFT lattice parameters and positions (GGA-PBE).
No peak broadening, texture or thermal motion is included.

Largest 8 diffraction maxima, sorted by position, 2θ from 15° to 90°:
hkl  2theta  intensity
2 0 1  26.96  51.6
2 0 -3  27.29  53.0
2 4 -1  28.62  100.0
4 0 -2  32.11  23.0
0 4 2  32.40  45.3
4 4 0  46.05  28.4
4 4 -4  46.47  31.4
2 4 -5  53.98  18.1

Crystal structure
```
data_TlOF
_symmetry_space_group_name_H-M 'C 1 m 1'
_symmetry_Int_Tables_number 8
_cell_length_a 11.151
_cell_length_b 15.055
_cell_length_c 9.808
_cell_angle_alpha 90.00
_cell_angle_beta 123.92
_cell_angle_gamma 90.00
loop_
_symmetry_equiv_pos_as_xyz
'x,y,z'
'x,-y,z'
'x+1/2,y+1/2,z'
'x+1/2,-y+1/2,z'
loop_
_atom_site_label
_atom_site_type_symbol
_atom_site_fract_x
_atom_site_fract_y
_atom_site_fract_z
Tl1 Tl 0.000 0.000 0.000
Tl2 Tl 0.001 0.257 0.998
Tl3 Tl 0.048 0.500 0.044
Tl4 Tl 0.102 0.129 0.739
Tl5 Tl 0.157 0.369 0.796
Tl6 Tl 0.234 0.000 0.523
Tl7 Tl 0.263 0.253 0.548
Tl8 Tl 0.276 0.500 0.565
Tl9 Tl 0.396 0.367 0.261
Tl10 Tl 0.417 0.120 0.298
O1 O 0.003 0.262 0.762
O2 O 0.030 0.000 0.795
O3 O 0.114 0.128 0.494
O4 O 0.121 0.372 0.536
O5 O 0.150 0.371 0.050
O6 O 0.258 0.500 0.790
O7 O 0.264 0.230 0.787
O8 O 0.366 0.377 0.520
O9 O 0.402 0.366 0.030
F1 F 0.005 0.500 0.782
F2 F 0.041 0.000 0.252
F3 F 0.042 0.266 0.264
F4 F 0.066 0.500 0.300
F5 F 0.158 0.138 0.038
F6 F 0.259 0.000 0.767
F7 F 0.281 0.000 0.236
F8 F 0.307 0.241 0.306
F9 F 0.308 0.500 0.279
F10 F 0.363 0.105 0.505
F11 F 0.396 0.102 0.050
```

Record 2
Theoretical powder diffraction line list of Tl16O15F17 for Cu Kα, 1.54184 Å, from DFT lattice parameters and positions (GGA-PBE).
No peak broadening, texture or thermal motion is included.

Largest 8 diffraction maxima, sorted by position, 2θ from 15° to 90°:
hkl  2theta  intensity
2 4 -1  27.67  100.0
4 0 -2  31.90  11.1
0 4 2  32.13  22.9
4 4 -4  45.91  29.4
0 8 0  46.15  8.2
6 0 -1  54.30  11.7
2 4 3  54.55  13.7
2 8 -3  54.64  13.7

Crystal structure
```
data_Tl16O15F17
_symmetry_space_group_name_H-M 'C 1 m 1'
_symmetry_Int_Tables_number 8
_cell_length_a 11.220
_cell_length_b 15.736
_cell_length_c 9.675
_cell_angle_alpha 90.00
_cell_angle_beta 125.35
_cell_angle_gamma 90.00
loop_
_symmetry_equiv_pos_as_xyz
'x,y,z'
'x,-y,z'
'x+1/2,y+1/2,z'
'x+1/2,-y+1/2,z'
loop_
_atom_site_label
_atom_site_type_symbol
_atom_site_fract_x
_atom_site_fract_y
_atom_site_fract_z
Tl1 Tl 0.000 0.000 0.000
Tl2 Tl 0.033 0.251 0.986
Tl3 Tl 0.146 0.123 0.728
Tl4 Tl 0.150 0.357 0.733
Tl5 Tl 0.259 0.000 0.501
Tl6 Tl 0.302 0.250 0.512
Tl7 Tl 0.307 0.500 0.524
Tl8 Tl 0.391 0.134 0.259
Tl9 Tl 0.409 0.375 0.265
Tl10 Tl 0.495 0.000 0.987
O1 O 0.010 0.000 0.783
O2 O 0.064 0.238 0.773
O3 O 0.156 0.121 0.492
O4 O 0.266 0.261 0.215
O5 O 0.267 0.000 0.776
O6 O 0.302 0.252 0.746
O7 O 0.399 0.379 0.494
O8 O 0.418 0.134 0.501
O9 O 0.472 0.500 0.206
F1 F 0.046 0.255 0.271
F2 F 0.115 0.388 0.966
F3 F 0.147 0.117 0.035
F4 F 0.155 0.392 0.491
F5 F 0.214 0.500 0.227
F6 F 0.241 0.500 0.762
F7 F 0.259 0.000 0.268
F8 F 0.381 0.361 0.999
F9 F 0.395 0.135 0.022
F10 F 0.467 0.000 0.222
F11 F 0.492 0.000 0.727
```

Record 3
Theoretical powder diffraction line list of Zr3Tl2OF12 for Cu Kα, 1.54184 Å, from DFT lattice parameters and positions (GGA-PBE).
No peak broadening, texture or thermal motion is included.

Largest 8 diffraction maxima, sorted by position, 2θ from 15° to 90°:
hkl  2theta  intensity
1 1 0  22.61  36.6
1 0 7  24.26  84.1
0 2 1  26.33  60.1
0 1 8  26.81  100.0
1 1 6  28.70  73.4
1 2 8  42.36  35.9
3 0 6  43.65  58.4
2 2 0  46.17  47.6

Crystal structure
```
data_Zr3Tl2OF12
_symmetry_space_group_name_H-M 'R -3 m'
_symmetry_Int_Tables_number 166
_symmetry_space_group_name_Hall '-R 3 2"'
_cell_length_a 7.8649
_cell_length_b 7.8649
_cell_length_c 30.4969
_cell_angle_alpha 90.00
_cell_angle_beta 90.00
_cell_angle_gamma 120.00
loop_
_atom_site_label
_atom_site_type_symbol
_atom_site_fract_x
_atom_site_fract_y
_atom_site_fract_z
Zr1 Zr 0.0310 0.5155 0.4398
Tl1 Tl 0.0000 0.0000 0.0000
Tl2 Tl 0.0000 0.0000 0.3600
Tl3 Tl 0.0000 0.0000 0.5000
O1 O 0.0000 0.0000 0.2131
F1 F 0.0000 0.3526 0.5000
F2 F 0.0036 0.5018 0.0923
F3 F 0.0435 0.5218 0.3734
F4 F 0.1097 0.5549 0.7620
```

Record 4
Theoretical powder diffraction line list of UOF4 for Cu Kα, 1.54184 Å, from DFT lattice parameters and positions (GGA-PBE).
No peak broadening, texture or thermal motion is included.

Largest 8 diffraction maxima, sorted by position, 2θ from 15° to 90°:
hkl  2theta  intensity
1 0 1  17.12  37.5
0 2 1  21.62  100.0
3 0 0  22.81  59.3
2 1 1  25.37  38.4
2 2 0  26.40  28.5
3 2 1  36.94  26.9
0 5 1  41.66  26.3
2 3 2  46.17  26.5

Crystal structure
```
data_UOF4
_symmetry_space_group_name_H-M 'R 3 m'
_symmetry_Int_Tables_number 160
_symmetry_space_group_name_Hall 'R 3 -2"'
_cell_length_a 13.5040
_cell_length_b 13.5040
_cell_length_c 5.7787
_cell_angle_alpha 90.00
_cell_angle_beta 90.00
_cell_angle_gamma 120.00
loop_
_atom_site_label
_atom_site_type_symbol
_atom_site_fract_x
_atom_site_fract_y
_atom_site_fract_z
U1 U 0.1942 0.3885 0.0000
O1 O 0.0635 0.5318 0.4690
F1 F 0.0439 0.2862 0.2486
F2 F 0.1496 0.0748 0.5539
F3 F 0.1626 0.0813 0.0666
```

Record 5
Theoretical powder diffraction line list of UOF3 for Cu Kα, 1.54184 Å, from DFT lattice parameters and positions (GGA-PBE).
No peak broadening, texture or thermal motion is included.

Largest 8 diffraction maxima, sorted by position, 2θ from 15° to 90°:
hkl  2theta  intensity
0 0 1  17.34  93.7
1 0 0  27.01  90.4
1 0 1  32.28  100.0
1 0 2  44.84  59.0
1 1 0  47.72  36.5
1 1 1  51.15  35.8
1 1 2  60.60  20.6
1 0 3  61.20  22.8

Crystal structure
```
data_UOF3
_symmetry_space_group_name_H-M 'P 3 m 1'
_symmetry_Int_Tables_number 156
_cell_length_a 3.8120
_cell_length_b 3.8120
_cell_length_c 5.1132
_cell_angle_alpha 90.00
_cell_angle_beta 90.00
_cell_angle_gamma 120.00
loop_
_symmetry_equiv_pos_as_xyz
'x,y,z'
'-y,x-y,z'
'-x+y,-x,z'
'-y,-x,z'
'-x+y,y,z'
'x,x-y,z'
loop_
_atom_site_label
_atom_site_type_symbol
_atom_site_fract_x
_atom_site_fract_y
_atom_site_fract_z
U1 U 0.0000 0.0000 0.0000
O1 O 0.6667 0.3333 0.1333
F1 F 0.0000 0.0000 0.3982
F2 F 0.3333 0.6667 0.8833
F3 F 0.6667 0.3333 0.6820
```

Record 6
Theoretical powder diffraction line list of UOF4 for Cu Kα, 1.54184 Å, from DFT lattice parameters and positions (GGA-PBE).
No peak broadening, texture or thermal motion is included.

Largest 8 diffraction maxima, sorted by position, 2θ from 15° to 90°:
hkl  2theta  intensity
1 0 1  16.86  60.8
2 2 0  21.19  27.6
2 1 1  22.60  100.0
3 1 0  23.73  68.0
2 0 2  34.10  25.9
4 1 1  34.74  24.9
4 3 1  41.05  24.2
5 2 1  43.92  21.4

Crystal structure
```
data_UOF4
_symmetry_space_group_name_H-M 'I -4 2 d'
_symmetry_Int_Tables_number 122
_symmetry_space_group_name_Hall 'I -4 2bw'
_cell_length_a 11.857
_cell_length_b 11.857
_cell_length_c 5.868
_cell_angle_alpha 90.00
_cell_angle_beta 90.00
_cell_angle_gamma 90.00
loop_
_atom_site_label
_atom_site_type_symbol
_atom_site_fract_x
_atom_site_fract_y
_atom_site_fract_z
U1 U 0.077 0.750 0.125
O1 O 0.230 0.750 0.125
F1 F 0.064 0.671 0.820
F2 F 0.065 0.145 0.027
```

Record 7
Theoretical powder diffraction line list of U2O5F8 for Cu Kα, 1.54184 Å, from DFT lattice parameters and positions (GGA-PBE).
No peak broadening, texture or thermal motion is included.

Largest 8 diffraction maxima, sorted by position, 2θ from 15° to 90°:
hkl  2theta  intensity
2 0 1  16.39  32.7
0 2 0  16.98  100.0
2 1 1  18.51  83.9
1 2 1  20.33  35.0
2 0 2  22.32  33.4
0 1 3  27.51  28.1
2 2 2  28.17  31.8
4 1 0  29.41  31.2

Crystal structure
```
data_U2O5F8
_symmetry_space_group_name_H-M 'P n m a'
_symmetry_Int_Tables_number 62
_cell_length_a 12.699
_cell_length_b 10.444
_cell_length_c 10.232
_cell_angle_alpha 90.00
_cell_angle_beta 90.00
_cell_angle_gamma 90.00
loop_
_symmetry_equiv_pos_as_xyz
'x,y,z'
'-x,-y,-z'
'-x+1/2,-y,z+1/2'
'x+1/2,y,-z+1/2'
'x+1/2,-y+1/2,-z+1/2'
'-x+1/2,y+1/2,z+1/2'
'-x,y+1/2,-z'
'x,-y+1/2,z'
loop_
_atom_site_label
_atom_site_type_symbol
_atom_site_fract_x
_atom_site_fract_y
_atom_site_fract_z
U1 U 0.064 0.250 0.062
U2 U 0.218 0.750 0.210
O1 O 0.025 0.250 0.601
O2 O 0.073 0.145 0.627
O3 O 0.209 0.580 0.234
F1 F 0.037 0.604 0.901
F2 F 0.050 0.750 0.114
F3 F 0.082 0.250 0.260
F4 F 0.147 0.250 0.863
F5 F 0.174 0.112 0.065
F6 F 0.244 0.250 0.512
```

Record 8
Theoretical powder diffraction line list of Y6O5F8 for Cu Kα, 1.54184 Å, from DFT lattice parameters and positions (GGA-PBE).
No peak broadening, texture or thermal motion is included.

Largest 8 diffraction maxima, sorted by position, 2θ from 15° to 90°:
hkl  2theta  intensity
1 3 1  27.48  100.0
0 6 0  30.63  12.4
1 3 -2  39.61  10.1
2 6 0  45.21  33.1
2 0 2  46.52  19.8
1 9 1  52.54  15.2
3 3 -1  54.87  13.8
3 9 1  72.77  8.2

Crystal structure
```
data_Y6O5F8
_symmetry_space_group_name_H-M 'C 1 2 1'
_symmetry_Int_Tables_number 5
_cell_length_a 5.518
_cell_length_b 17.514
_cell_length_c 5.525
_cell_angle_alpha 90.00
_cell_angle_beta 90.11
_cell_angle_gamma 90.00
loop_
_symmetry_equiv_pos_as_xyz
'x,y,z'
'-x,y,-z'
'x+1/2,y+1/2,z'
'-x+1/2,y+1/2,-z'
loop_
_atom_site_label
_atom_site_type_symbol
_atom_site_fract_x
_atom_site_fract_y
_atom_site_fract_z
Y1 Y 0.230 0.000 0.287
Y2 Y 0.233 0.175 0.712
Y3 Y 0.249 0.838 0.702
O1 O 0.000 0.088 0.500
O2 O 0.000 0.259 0.500
O3 O 0.000 0.427 0.500
O4 O 0.000 0.748 0.500
O5 O 0.000 0.917 0.500
F1 F 0.000 0.084 0.000
F2 F 0.000 0.230 0.000
F3 F 0.000 0.373 0.000
F4 F 0.000 0.515 0.000
F5 F 0.000 0.588 0.500
F6 F 0.000 0.653 0.000
F7 F 0.000 0.795 0.000
F8 F 0.000 0.938 0.000
```